(1)
Calculated X-ray powder pattern of Ce3PmTh12 for copper Kα, from DFT lattice parameters and positions (PBE).
Peak positions follow from Bragg's law for the DFT cell and can differ from measured ones.

Principal peaks in the range 2θ = 15–90°, low angle first:
2θ = 30.98°, I 100
2θ = 35.80°, I 17
2θ = 35.98°, I 34
2θ = 51.66°, I 24
2θ = 51.80°, I 12
2θ = 61.35°, I 14
2θ = 61.59°, I 29
2θ = 64.56°, I 13

Structural model:
```
Ce3PmTh12
1.0
4.9923 0.0000 0.0000
0.0000 4.9923 0.0000
0.0000 0.0000 20.0645
Ce Pm Th
3 1 12
Cartesian
0.0000 0.0000 0.0000
0.0000 0.0000 4.9717
0.0000 0.0000 15.0928
0.0000 0.0000 10.0322
0.0000 2.4961 2.4789
0.0000 2.4961 7.4451
0.0000 2.4961 12.6193
0.0000 2.4961 17.5856
2.4961 0.0000 2.4789
2.4961 0.0000 7.4451
2.4961 0.0000 12.6193
2.4961 0.0000 17.5856
2.4961 2.4961 0.0000
2.4961 2.4961 4.9370
2.4961 2.4961 10.0322
2.4961 2.4961 15.1275
```


(2)
Calculated X-ray powder pattern of BaAc3P4 for copper Kα, from DFT lattice parameters and positions (PBE).
Peak positions follow from Bragg's law for the DFT cell and can differ from measured ones.

Principal peaks in the range 2θ = 15–90°, low angle first:
2θ = 24.30°, I 99
2θ = 28.13°, I 100
2θ = 40.21°, I 77
2θ = 47.54°, I 53
2θ = 49.79°, I 28
2θ = 63.98°, I 22
2θ = 65.84°, I 36
2θ = 73.08°, I 27

Structural model:
```
BaAc3P4
1.0
6.3434 0.0000 0.0000
0.0000 6.3434 0.0000
0.0000 0.0000 6.3434
Ba Ac P
1 3 4
Cartesian
0.0000 0.0000 0.0000
0.0000 3.1717 3.1717
3.1717 0.0000 3.1717
3.1717 3.1717 0.0000
0.0000 0.0000 3.1717
0.0000 3.1717 0.0000
3.1717 0.0000 0.0000
3.1717 3.1717 3.1717
```


(3)
Calculated X-ray powder pattern of Hf4Zr6Sc for copper Kα, from DFT lattice parameters and positions (PBE).
Peak positions follow from Bragg's law for the DFT cell and can differ from measured ones.

Principal peaks in the range 2θ = 15–90°, low angle first:
2θ = 20.97°, I 43
2θ = 30.09°, I 20
2θ = 33.68°, I 26
2θ = 35.36°, I 56
2θ = 36.75°, I 100
2θ = 40.02°, I 42
2θ = 51.92°, I 15
2θ = 70.83°, I 29

Structural model:
```
Hf4Zr6Sc
1.0
9.7819 0.0000 0.0000
-4.8909 8.4714 0.0000
0.0000 0.0000 3.1711
Hf Zr Sc
4 6 1
Cartesian
0.0000 0.0000 0.0000
-2.4385 4.2397 1.5855
2.4385 4.2397 1.5855
0.0000 8.4633 1.5855
0.0000 3.1355 0.0000
-2.1755 6.9036 0.0000
2.2845 1.3189 1.5855
2.1755 6.9036 0.0000
7.4974 1.3189 1.5855
4.8909 5.8335 1.5855
4.8910 2.8238 0.0000
```


(4)
Calculated X-ray powder pattern of TbYSiIr for copper Kα, from DFT lattice parameters and positions (PBE).
Peak positions follow from Bragg's law for the DFT cell and can differ from measured ones.

Principal peaks in the range 2θ = 15–90°, low angle first:
2θ = 22.11°, I 33
2θ = 31.99°, I 100
2θ = 33.32°, I 49
2θ = 34.11°, I 25
2θ = 40.35°, I 64
2θ = 41.03°, I 30
2θ = 43.15°, I 25
2θ = 45.10°, I 22

Structural model:
```
TbYSiIr
1.0
4.0207 0.0000 0.0000
0.0000 2.0966 5.2565
0.0000 -2.0966 5.2565
Tb Y Si Ir
1 1 1 1
Cartesian
0.0000 0.0000 0.0000
2.0103 0.0000 2.9801
2.0103 0.0000 6.0603
0.0000 0.0000 7.5346
```


(5)
Calculated X-ray powder pattern of Dy2Al9Ir6 for copper Kα, from DFT lattice parameters and positions (PBE).
Peak positions follow from Bragg's law for the DFT cell and can differ from measured ones.

Principal peaks in the range 2θ = 15–90°, low angle first:
2θ = 18.89°, I 16
2θ = 22.00°, I 47
2θ = 33.03°, I 68
2θ = 40.04°, I 100
2θ = 44.87°, I 15
2θ = 56.83°, I 29
2θ = 63.75°, I 26
2θ = 86.43°, I 14

Structural model:
```
Dy2Al9Ir6
1.0
5.4235 0.0000 0.0000
-2.7118 4.6969 0.0000
0.0000 0.0000 12.1215
Dy Al Ir
2 9 6
Cartesian
0.0000 0.0000 1.9795
0.0000 0.0000 10.1420
-1.3559 2.3485 0.0000
-1.3559 2.3485 4.1024
-1.3559 2.3485 8.0191
2.7118 0.0000 0.0000
2.7118 0.0000 4.1024
2.7118 0.0000 8.0191
1.3559 2.3485 0.0000
1.3559 2.3485 4.1024
1.3559 2.3485 8.0191
0.0000 3.1313 2.0780
0.0000 3.1313 6.0607
0.0000 3.1313 10.0434
2.7118 1.5656 2.0780
2.7118 1.5656 6.0607
2.7118 1.5656 10.0434
```


(6)
Calculated X-ray powder pattern of La2Pr3Ho6 for copper Kα, from DFT lattice parameters and positions (PBE).
Peak positions follow from Bragg's law for the DFT cell and can differ from measured ones.

Principal peaks in the range 2θ = 15–90°, low angle first:
2θ = 28.26°, I 100
2θ = 30.41°, I 27
2θ = 33.95°, I 79
2θ = 37.27°, I 61
2θ = 50.06°, I 23
2θ = 53.74°, I 21
2θ = 61.86°, I 40
2θ = 65.10°, I 24

Structural model:
```
La2Pr3Ho6
1.0
-2.4123 2.4123 16.6831
2.4123 -2.4123 16.6831
2.4123 2.4123 -16.6831
La Pr Ho
2 3 6
Cartesian
0.0000 0.0000 1.5400
0.0000 0.0000 31.8263
0.0000 0.0000 9.8418
0.0000 0.0000 16.6831
0.0000 0.0000 23.5245
2.4123 0.0000 4.0400
0.0000 0.0000 6.3730
2.4123 0.0000 12.6432
0.0000 2.4123 4.0400
0.0000 0.0000 26.9933
0.0000 2.4123 12.6432
```


(7)
Calculated X-ray powder pattern of LiZn3Ni for copper Kα, from DFT lattice parameters and positions (PBE).
Peak positions follow from Bragg's law for the DFT cell and can differ from measured ones.

Principal peaks in the range 2θ = 15–90°, low angle first:
2θ = 24.44°, I 9
2θ = 31.21°, I 12
2θ = 42.65°, I 100
2θ = 43.82°, I 24
2θ = 43.97°, I 23
2θ = 63.82°, I 14
2θ = 77.17°, I 11
2θ = 79.72°, I 14

Structural model:
```
LiZn3Ni
1.0
4.1188 0.0000 0.0000
0.0000 4.1320 0.0000
-2.0749 0.0000 7.7136
Li Zn Ni
2 6 2
Cartesian
-0.0079 1.0330 2.4126
2.0517 3.0990 5.3011
-0.0012 3.0990 0.8883
-0.0034 3.0990 3.8657
-0.0144 3.0990 6.8426
2.0583 1.0330 0.8710
2.0472 1.0330 3.8479
2.0451 1.0330 6.8254
-0.0136 1.0330 5.3724
2.0575 3.0990 2.3412
```


(8)
Calculated X-ray powder pattern of PuNb4O12 for copper Kα, from DFT lattice parameters and positions (PBE).
Peak positions follow from Bragg's law for the DFT cell and can differ from measured ones.

Principal peaks in the range 2θ = 15–90°, low angle first:
2θ = 15.85°, I 54
2θ = 16.13°, I 100
2θ = 27.79°, I 48
2θ = 32.01°, I 47
2θ = 32.58°, I 98
2θ = 43.79°, I 25
2θ = 45.90°, I 35
2θ = 57.41°, I 44

Structural model:
```
PuNb4O12
1.0
-3.9544 3.9544 3.8220
3.9544 -3.9544 3.8220
3.9544 3.9544 -3.8220
Pu Nb O
1 4 12
Cartesian
0.0000 0.0000 0.0000
1.9772 1.9772 -1.9110
1.9772 -1.9772 1.9110
-1.9772 1.9772 1.9110
1.9772 1.9772 1.9110
3.9544 -2.0674 2.3757
1.8870 0.0000 1.4463
6.0217 0.0000 1.4463
2.3084 2.3084 0.0000
1.6460 -1.6460 3.8220
0.0000 1.8870 1.4463
3.9544 2.0674 2.3757
-1.6460 1.6460 3.8220
1.6460 1.6460 3.8220
-2.0674 3.9544 2.3757
2.0674 3.9544 2.3757
0.0000 6.0217 1.4463
```


(9)
Calculated X-ray powder pattern of Sr3InSe4 for copper Kα, from DFT lattice parameters and positions (PBE).
Peak positions follow from Bragg's law for the DFT cell and can differ from measured ones.

Principal peaks in the range 2θ = 15–90°, low angle first:
2θ = 19.48°, I 100
2θ = 29.08°, I 50
2θ = 34.08°, I 96
2θ = 35.24°, I 44
2θ = 45.40°, I 85
2θ = 61.00°, I 17
2θ = 68.98°, I 23
2θ = 71.09°, I 22

Structural model:
```
Sr3InSe4
1.0
10.5304 0.0000 0.0000
0.0000 9.1067 0.0000
0.0000 0.0000 6.1416
Sr In Se
6 2 8
Cartesian
0.0000 1.4335 6.1414
2.6160 3.0235 3.0708
2.6492 6.0832 0.0000
5.2652 7.6732 3.0706
7.8813 6.0832 0.0000
7.9144 3.0235 3.0708
0.0000 7.5424 3.0599
5.2652 1.5643 6.1307
0.0000 1.3938 3.0713
0.0000 7.5250 0.0105
2.5993 6.1098 3.0712
2.6659 2.9969 0.0004
5.2652 1.5817 3.0813
5.2652 7.7129 0.0004
7.8645 2.9969 0.0004
7.9311 6.1098 3.0712
```


(10)
Calculated X-ray powder pattern of Pm8Dy4Tm for copper Kα, from DFT lattice parameters and positions (PBE).
Peak positions follow from Bragg's law for the DFT cell and can differ from measured ones.

Principal peaks in the range 2θ = 15–90°, low angle first:
2θ = 19.62°, I 13
2θ = 32.30°, I 100
2θ = 46.33°, I 18
2θ = 57.56°, I 28
2θ = 57.75°, I 9
2θ = 67.51°, I 6
2θ = 76.85°, I 8
2θ = 77.00°, I 8

Structural model:
```
Pm8Dy4Tm
1.0
5.5501 3.2043 4.5136
-5.5501 3.2043 4.5136
0.0000 -6.4087 4.5136
Pm Dy Tm
8 4 1
Cartesian
0.0000 0.0000 3.2544
0.0000 -3.3198 5.5924
-2.8750 1.6599 5.5924
-2.8750 -1.6599 7.9484
2.8750 1.6599 5.5924
2.8750 -1.6599 7.9484
0.0000 3.3198 7.9484
0.0000 0.0000 10.2864
0.0000 0.0000 0.0000
-2.7750 -1.6022 4.5136
-2.7750 1.6022 9.0271
0.0000 3.2043 4.5136
0.0000 0.0000 6.7704
```


(11)
Calculated X-ray powder pattern of Sm3ScSe6 for copper Kα, from DFT lattice parameters and positions (PBE).
Peak positions follow from Bragg's law for the DFT cell and can differ from measured ones.

Principal peaks in the range 2θ = 15–90°, low angle first:
2θ = 18.68°, I 59
2θ = 23.50°, I 100
2θ = 23.89°, I 28
2θ = 33.54°, I 84
2θ = 33.98°, I 95
2θ = 39.75°, I 70
2θ = 40.87°, I 38
2θ = 44.26°, I 25

Structural model:
```
Sm3ScSe6
1.0
5.9990 3.4635 4.7500
-5.9990 3.4635 4.7500
0.0000 -6.9271 4.7500
Sm Sc Se
6 2 12
Cartesian
-3.0449 -2.9183 6.6524
-4.0498 1.1778 7.5977
1.0049 -4.0961 7.5977
-1.0049 4.0961 6.6524
4.0498 -1.1778 6.6524
3.0449 2.9183 7.5977
0.0000 0.0000 0.0000
0.0000 0.0000 7.1250
-5.2383 -1.4720 7.8512
-1.3444 -5.2725 6.3988
-2.3041 -0.2038 5.6666
-3.8939 3.8005 6.3988
1.3285 -1.8935 5.6666
-0.9756 -2.0973 8.5835
0.9756 2.0973 5.6666
-1.3285 1.8935 8.5835
3.8939 -3.8005 7.8512
2.3041 0.2038 8.5835
1.3444 5.2725 7.8512
5.2383 1.4720 6.3988
```


(12)
Calculated X-ray powder pattern of In12Hg17 for copper Kα, from DFT lattice parameters and positions (PBE).
Peak positions follow from Bragg's law for the DFT cell and can differ from measured ones.

Principal peaks in the range 2θ = 15–90°, low angle first:
2θ = 30.61°, I 100
2θ = 30.92°, I 86
2θ = 31.00°, I 42
2θ = 31.19°, I 81
2θ = 32.10°, I 59
2θ = 32.45°, I 49
2θ = 36.99°, I 47
2θ = 38.99°, I 48

Structural model:
```
In12Hg17
1.0
9.4303 0.0000 0.0000
-2.2782 9.3267 0.0000
-2.9312 -3.9146 8.9946
In Hg
12 17
Cartesian
0.0000 0.0000 0.0000
-2.8583 6.3428 3.0998
-1.2025 1.9845 5.2747
-0.2410 4.6287 2.4010
-0.9005 1.9418 8.8814
-0.3843 6.8086 5.2024
2.8394 2.0573 3.0860
1.6409 -1.7921 8.9660
5.2494 0.0286 2.2288
3.0689 2.4630 7.0470
3.9838 5.3503 5.4696
6.1540 0.1285 7.3330
-3.3599 3.3666 7.2245
-0.6854 -2.7047 6.8809
0.5911 -0.0046 3.4583
1.3561 2.7478 0.5046
0.0433 7.8521 1.3394
0.8493 0.2511 6.8270
-0.2838 4.6520 7.5819
1.2234 3.8182 4.9819
2.1330 6.5839 3.3265
4.0550 4.6520 1.8675
3.8771 0.0794 5.1858
4.2952 -2.4177 7.3726
4.8308 7.4874 0.6923
6.8338 4.4788 0.3500
5.7899 3.2349 4.0019
7.1083 -0.9687 4.6314
7.7604 1.7948 1.9633
```


Repeat the tenth record exactly.
Calculated X-ray powder pattern of Pm8Dy4Tm for copper Kα, from DFT lattice parameters and positions (PBE).
Peak positions follow from Bragg's law for the DFT cell and can differ from measured ones.

Principal peaks in the range 2θ = 15–90°, low angle first:
2θ = 19.62°, I 13
2θ = 32.30°, I 100
2θ = 46.33°, I 18
2θ = 57.56°, I 28
2θ = 57.75°, I 9
2θ = 67.51°, I 6
2θ = 76.85°, I 8
2θ = 77.00°, I 8

Structural model:
```
Pm8Dy4Tm
1.0
5.5501 3.2043 4.5136
-5.5501 3.2043 4.5136
0.0000 -6.4087 4.5136
Pm Dy Tm
8 4 1
Cartesian
0.0000 0.0000 3.2544
0.0000 -3.3198 5.5924
-2.8750 1.6599 5.5924
-2.8750 -1.6599 7.9484
2.8750 1.6599 5.5924
2.8750 -1.6599 7.9484
0.0000 3.3198 7.9484
0.0000 0.0000 10.2864
0.0000 0.0000 0.0000
-2.7750 -1.6022 4.5136
-2.7750 1.6022 9.0271
0.0000 3.2043 4.5136
0.0000 0.0000 6.7704
```